Record 1
Computed powder X-ray diffraction pattern
Compound: Tb2Ho6Er3Pb
Radiation: a wavelength of 1.5418 Å
Structure: a structure optimized by DFT (GGA-PBE)
No peak broadening, texture or thermal motion is included.

```
Tb2Ho6Er3Pb
1.0
3.0272 -5.2468 0.0000
3.0272 5.2468 0.0000
-2.0281 0.0000 11.4563
Tb Ho Er Pb
2 6 3 1
direct
0.1660 0.8340 0.0000
0.8340 0.1660 0.0000
0.0881 0.4173 0.7502
0.2539 0.2539 0.2512
0.4173 0.0881 0.7502
0.5827 0.9119 0.2498
0.7461 0.7461 0.7488
0.9119 0.5827 0.2498
0.0000 0.0000 0.5000
0.3327 0.6673 0.5000
0.6673 0.3327 0.5000
0.5000 0.5000 0.0000
```

Principal peaks in the range 2θ from 10° to 90°, in order of rising 2θ:
- 2.858 Å, I = 100
- 2.475 Å, I = 51
- 1.752 Å, I = 18
- 1.748 Å, I = 18
- 1.493 Å, I = 18
- 1.491 Å, I = 18
- 1.428 Å, I = 9
- 1.135 Å, I = 9
- 1.108 Å, I = 8
- 1.106 Å, I = 8

=====

Record 2
Computed powder X-ray diffraction pattern
Compound: HoEr3Pd2
Radiation: a wavelength of 1.5418 Å
Structure: a structure optimized by DFT (GGA-PBE)
No peak broadening, texture or thermal motion is included.

```
HoEr3Pd2
1.0
3.7377 0.0000 0.0000
0.0000 9.6533 0.0000
0.0000 0.0000 8.4727
Ho Er Pd
2 6 4
direct
0.0000 0.0670 0.0000
0.0000 0.9330 0.5000
0.0000 0.2854 0.6597
0.0000 0.7146 0.1597
0.5000 0.2154 0.3197
0.5000 0.4337 0.9796
0.5000 0.5663 0.4796
0.5000 0.7846 0.8197
0.0000 0.4268 0.2526
0.0000 0.5732 0.7526
0.5000 0.0736 0.7264
0.5000 0.9264 0.2264
```

Principal peaks in the range 2θ from 10° to 90°, in order of rising 2θ:
- 3.223 Å, I = 18
- 3.184 Å, I = 17
- 3.008 Å, I = 43
- 2.790 Å, I = 42
- 2.711 Å, I = 42
- 2.692 Å, I = 100
- 2.343 Å, I = 52
- 2.321 Å, I = 20
- 1.869 Å, I = 24
- 1.647 Å, I = 23

=====

Record 3
Computed powder X-ray diffraction pattern
Compound: HoEr2Pd2
Radiation: a wavelength of 1.5418 Å
Structure: a structure optimized by DFT (GGA-PBE)
No peak broadening, texture or thermal motion is included.

```
HoEr2Pd2
1.0
1.9141 -6.7987 0.0000
1.9141 6.7987 0.0000
0.0000 0.0000 9.6173
Ho Er Pd
2 4 4
direct
0.1015 0.8985 0.5000
0.8985 0.1015 0.0000
0.1827 0.8173 0.8663
0.3938 0.6062 0.6584
0.6062 0.3938 0.1584
0.8173 0.1827 0.3663
0.2625 0.7375 0.1520
0.4691 0.5309 0.3768
0.5309 0.4691 0.8768
0.7375 0.2625 0.6520
```

Principal peaks in the range 2θ from 10° to 90°, in order of rising 2θ:
- 2.925 Å, I = 44
- 2.900 Å, I = 67
- 2.798 Å, I = 100
- 2.499 Å, I = 55
- 2.419 Å, I = 20
- 2.160 Å, I = 27
- 2.050 Å, I = 18
- 2.014 Å, I = 35
- 1.914 Å, I = 27
- 1.597 Å, I = 23

=====

- Which formula does entry 3 have?
  HoEr2Pd2